(1)
Calculated powder diffraction line list
Compound: Sm6SiBr8
Radiation: Cu Kα
Structure: a cell relaxed with GGA-PBE

Peak list (12 most intense, 2θ = 10–90°, low angle first)
| d [Å] | I (rel.) |
| --- | --- |
| 5.276 | 11 |
| 3.666 | 15 |
| 3.463 | 6 |
| 3.011 | 100 |
| 2.538 | 10 |
| 2.141 | 34 |
| 2.117 | 31 |
| 1.731 | 16 |
| 1.505 | 9 |
| 1.353 | 12 |
| 1.340 | 12 |
| 1.227 | 12 |

Structure:
```
Sm6SiBr8
1.0
3.6660 2.1166 10.5528
-3.6660 2.1166 10.5528
0.0000 -4.2331 10.5528
Sm Si Br
6 1 8
Direct
0.1490 0.4481 0.7472
0.2528 0.8510 0.5519
0.4481 0.7472 0.1490
0.5519 0.2528 0.8510
0.7472 0.1490 0.4481
0.8510 0.5519 0.2528
0.5000 0.5000 0.5000
0.0497 0.7365 0.3932
0.1667 0.1667 0.1667
0.2635 0.6068 0.9503
0.3932 0.0497 0.7365
0.6068 0.9503 0.2635
0.7365 0.3932 0.0497
0.8333 0.8333 0.8333
0.9503 0.2635 0.6068
```

---

(2)
Calculated powder diffraction line list
Compound: Nd5Er2Tm5
Radiation: Cu Kα
Structure: a cell relaxed with GGA-PBE

Peak list (12 most intense, 2θ = 10–90°, low angle first)
| d [Å] | I (rel.) |
| --- | --- |
| 2.915 | 100 |
| 2.527 | 34 |
| 2.520 | 17 |
| 1.786 | 24 |
| 1.784 | 12 |
| 1.523 | 29 |
| 1.520 | 14 |
| 1.458 | 12 |
| 1.159 | 6 |
| 1.158 | 12 |
| 1.130 | 8 |
| 1.127 | 6 |

Structure:
```
Nd5Er2Tm5
1.0
7.5823 -2.5197 0.0000
7.5823 2.5197 0.0000
-5.0621 0.0000 10.1060
Nd Er Tm
5 2 5
Direct
0.0000 0.0000 0.0000
0.0815 0.0815 0.7485
0.2489 0.2489 0.2505
0.7511 0.7511 0.7495
0.9185 0.9185 0.2515
0.1667 0.1667 0.4991
0.8333 0.8333 0.5009
0.3329 0.3329 0.0001
0.4155 0.4155 0.7471
0.5000 0.5000 0.5000
0.5845 0.5845 0.2529
0.6671 0.6671 0.9999
```

---

(3)
Calculated powder diffraction line list
Compound: NaIn2AgHg
Radiation: Cu Kα
Structure: a cell relaxed with GGA-PBE

Peak list (12 most intense, 2θ = 10–90°, low angle first)
| d [Å] | I (rel.) |
| --- | --- |
| 4.493 | 82 |
| 3.984 | 31 |
| 3.774 | 24 |
| 3.523 | 21 |
| 3.411 | 23 |
| 2.981 | 100 |
| 2.541 | 35 |
| 2.353 | 42 |
| 2.286 | 36 |
| 2.142 | 77 |
| 2.127 | 27 |
| 1.578 | 21 |

Structure:
```
NaIn2AgHg
1.0
2.3533 -7.5477 0.0000
2.3533 7.5477 0.0000
0.0000 0.0000 7.9682
Na In Ag Hg
2 4 2 2
Direct
0.1055 0.8945 0.7500
0.8945 0.1055 0.2500
0.3145 0.6855 0.5530
0.3145 0.6855 0.9470
0.6855 0.3145 0.0530
0.6855 0.3145 0.4470
0.2129 0.7871 0.2500
0.7871 0.2129 0.7500
0.5000 0.5000 0.0000
0.5000 0.5000 0.5000
```

---

(4)
Calculated powder diffraction line list
Compound: SrLi
Radiation: Cu Kα
Structure: a cell relaxed with GGA-PBE

Peak list (12 most intense, 2θ = 10–90°, low angle first)
| d [Å] | I (rel.) |
| --- | --- |
| 5.335 | 63 |
| 3.947 | 55 |
| 3.373 | 54 |
| 3.078 | 22 |
| 2.981 | 100 |
| 2.960 | 26 |
| 2.368 | 28 |
| 2.134 | 16 |
| 2.120 | 18 |
| 1.773 | 17 |
| 1.724 | 27 |
| 1.713 | 19 |

Structure:
```
SrLi
1.0
4.1668 0.0000 0.0000
0.0000 5.9194 0.0000
0.0000 0.0000 12.3131
Sr Li
4 4
Direct
0.0000 0.2500 0.1062
0.0000 0.7500 0.8938
0.5000 0.2500 0.3938
0.5000 0.7500 0.6062
0.0000 0.2500 0.6616
0.0000 0.7500 0.3384
0.5000 0.2500 0.8384
0.5000 0.7500 0.1616
```

---

(5)
Calculated powder diffraction line list
Compound: Pr4Er2Th
Radiation: Cu Kα
Structure: a cell relaxed with GGA-PBE

Peak list (12 most intense, 2θ = 10–90°, low angle first)
| d [Å] | I (rel.) |
| --- | --- |
| 3.040 | 18 |
| 2.978 | 100 |
| 2.950 | 24 |
| 2.850 | 70 |
| 2.810 | 26 |
| 2.776 | 17 |
| 2.722 | 12 |
| 2.449 | 38 |
| 1.811 | 21 |
| 1.679 | 15 |
| 1.652 | 10 |
| 1.536 | 14 |

Structure:
```
Pr4Er2Th
1.0
0.0000 12.2246 3.2268
6.0806 0.0000 3.2268
6.0806 12.2246 0.0000
Pr Er Th
8 4 2
Direct
0.0269 0.9731 0.1126
0.1374 0.3626 0.2231
0.3626 0.1374 0.2769
0.4562 0.6116 0.2566
0.5745 0.9934 0.6384
0.6116 0.4562 0.6755
0.9731 0.0269 0.8874
0.9934 0.5745 0.7938
0.0553 0.5339 0.0089
0.2411 0.8481 0.1947
0.5339 0.0553 0.4019
0.8481 0.2411 0.7161
0.5005 0.5005 0.4995
0.7505 0.7505 0.7495
```

---

(6)
Calculated powder diffraction line list
Compound: LiAc3Hg3
Radiation: Cu Kα
Structure: a cell relaxed with GGA-PBE

Peak list (12 most intense, 2θ = 10–90°, low angle first)
| d [Å] | I (rel.) |
| --- | --- |
| 3.464 | 23 |
| 3.210 | 42 |
| 3.071 | 36 |
| 3.026 | 72 |
| 3.023 | 100 |
| 2.704 | 34 |
| 2.695 | 27 |
| 2.682 | 31 |
| 2.572 | 65 |
| 2.144 | 36 |
| 1.688 | 28 |
| 1.433 | 23 |

Structure:
```
LiAc3Hg3
1.0
6.4277 -2.1445 0.0000
6.4277 2.1445 0.0000
-5.6183 0.0000 16.0940
Li Ac Hg
2 6 6
Direct
0.2292 0.2292 0.4112
0.7708 0.7708 0.5888
0.2618 0.2618 0.7677
0.3860 0.3860 0.0800
0.4885 0.4885 0.6180
0.5115 0.5115 0.3820
0.6140 0.6140 0.9200
0.7382 0.7382 0.2323
0.0318 0.0318 0.2382
0.1119 0.1119 0.0753
0.1418 0.1418 0.5474
0.8582 0.8582 0.4526
0.8881 0.8881 0.9247
0.9682 0.9682 0.7618
```

---

(7)
Calculated powder diffraction line list
Compound: AsPbF5
Radiation: Cu Kα
Structure: a cell relaxed with GGA-PBE

Peak list (12 most intense, 2θ = 10–90°, low angle first)
| d [Å] | I (rel.) |
| --- | --- |
| 5.459 | 33 |
| 4.362 | 81 |
| 3.707 | 100 |
| 3.500 | 44 |
| 3.022 | 35 |
| 2.730 | 25 |
| 2.682 | 23 |
| 2.661 | 24 |
| 2.181 | 19 |
| 2.058 | 24 |
| 1.995 | 18 |
| 1.852 | 28 |

Structure:
```
AsPbF5
1.0
4.6269 -3.4996 0.0000
4.6269 3.4996 0.0000
-2.9510 0.0000 8.3360
As Pb F
2 2 10
Direct
0.0214 0.9786 0.5000
0.9786 0.0214 0.0000
0.4769 0.5090 0.7321
0.5090 0.4769 0.2321
0.0539 0.8770 0.6837
0.2234 0.2434 0.1591
0.2369 0.7362 0.0523
0.2434 0.2234 0.6591
0.3238 0.6682 0.4699
0.6682 0.3238 0.9699
0.7362 0.2369 0.5523
0.7660 0.8065 0.8997
0.8065 0.7660 0.3997
0.8770 0.0539 0.1837
```

---

(8)
Calculated powder diffraction line list
Compound: SmDy12In3
Radiation: Cu Kα
Structure: a cell relaxed with GGA-PBE

Peak list (12 most intense, 2θ = 10–90°, low angle first)
| d [Å] | I (rel.) |
| --- | --- |
| 2.825 | 100 |
| 2.478 | 17 |
| 2.431 | 33 |
| 1.735 | 23 |
| 1.719 | 12 |
| 1.489 | 13 |
| 1.468 | 28 |
| 1.412 | 11 |
| 1.125 | 11 |
| 1.116 | 6 |
| 1.104 | 5 |
| 1.091 | 5 |

Structure:
```
SmDy12In3
1.0
4.8612 0.0000 0.0000
0.0000 4.8612 0.0000
0.0000 0.0000 19.8269
Sm Dy In
1 12 3
Direct
0.0000 0.0000 0.0000
0.0000 0.5000 0.1316
0.0000 0.5000 0.3773
0.0000 0.5000 0.6227
0.0000 0.5000 0.8684
0.5000 0.0000 0.1316
0.5000 0.0000 0.3773
0.5000 0.0000 0.6227
0.5000 0.0000 0.8684
0.5000 0.5000 0.0000
0.5000 0.5000 0.2556
0.5000 0.5000 0.5000
0.5000 0.5000 0.7444
0.0000 0.0000 0.2566
0.0000 0.0000 0.5000
0.0000 0.0000 0.7434
```

---

(9)
Calculated powder diffraction line list
Compound: LiPH2O3
Radiation: Cu Kα
Structure: a cell relaxed with GGA-PBE

Peak list (12 most intense, 2θ = 10–90°, low angle first)
| d [Å] | I (rel.) |
| --- | --- |
| 5.608 | 14 |
| 3.844 | 26 |
| 3.782 | 82 |
| 3.677 | 100 |
| 3.494 | 10 |
| 3.075 | 22 |
| 3.020 | 12 |
| 2.804 | 14 |
| 2.640 | 22 |
| 2.561 | 12 |
| 2.330 | 8 |
| 1.665 | 12 |

Structure:
```
LiPH2O3
1.0
11.2160 0.0000 0.0000
0.0000 5.1227 0.0000
0.0000 0.0000 5.2797
Li P H O
4 4 8 12
Direct
0.0798 0.0095 0.0000
0.4202 0.5095 0.5000
0.5798 0.4905 0.0000
0.9202 0.9905 0.5000
0.1569 0.3082 0.4847
0.3431 0.8082 0.9847
0.6569 0.1918 0.4847
0.8431 0.6918 0.9847
0.1345 0.5628 0.3972
0.1614 0.4954 0.8588
0.3386 0.9954 0.3588
0.3655 0.0628 0.8972
0.6345 0.9372 0.3972
0.6614 0.0046 0.8588
0.8386 0.5046 0.3588
0.8655 0.4372 0.8972
0.0723 0.1142 0.3628
0.1254 0.3253 0.7806
0.2103 0.7538 0.9453
0.2897 0.2538 0.4453
0.3746 0.8253 0.2806
0.4277 0.6142 0.8628
0.5723 0.3858 0.3628
0.6254 0.1747 0.7806
0.7103 0.7462 0.9453
0.7897 0.2462 0.4453
0.8746 0.6747 0.2806
0.9277 0.8858 0.8628
```

---

(10)
Calculated powder diffraction line list
Compound: Rb5SiS4Cl2
Radiation: Cu Kα
Structure: a cell relaxed with GGA-PBE

Peak list (12 most intense, 2θ = 10–90°, low angle first)
| d [Å] | I (rel.) |
| --- | --- |
| 5.520 | 19 |
| 3.960 | 28 |
| 3.903 | 61 |
| 3.668 | 38 |
| 3.337 | 76 |
| 3.082 | 37 |
| 2.760 | 31 |
| 2.691 | 100 |
| 2.455 | 27 |
| 1.978 | 33 |
| 1.951 | 31 |
| 1.601 | 24 |

Structure:
```
Rb5SiS4Cl2
1.0
9.8182 0.0000 0.0000
0.0000 5.5195 3.9598
0.0000 -5.5195 3.9598
Rb Si S Cl
5 1 4 2
Direct
0.0000 0.0000 0.0000
0.2628 0.2715 0.6721
0.2628 0.6721 0.2715
0.7372 0.2715 0.6721
0.7372 0.6721 0.2715
0.5000 0.9873 0.9873
0.3205 0.1335 0.1335
0.5000 0.6519 0.9146
0.5000 0.9146 0.6519
0.6795 0.1335 0.1335
0.0000 0.5010 0.9525
0.0000 0.9525 0.5010
```

---

(11)
Calculated powder diffraction line list
Compound: Tl2HgAsPb
Radiation: Cu Kα
Structure: a cell relaxed with GGA-PBE

Peak list (12 most intense, 2θ = 10–90°, low angle first)
| d [Å] | I (rel.) |
| --- | --- |
| 4.498 | 15 |
| 3.480 | 37 |
| 3.261 | 20 |
| 3.228 | 71 |
| 2.783 | 17 |
| 2.767 | 100 |
| 2.667 | 20 |
| 2.329 | 15 |
| 2.318 | 39 |
| 1.929 | 15 |
| 1.630 | 13 |
| 1.410 | 13 |

Structure:
```
Tl2HgAsPb
1.0
4.8525 0.0000 0.0000
0.0000 4.6345 0.0000
-2.0375 0.0000 6.9598
Tl Hg As Pb
2 1 1 1
Direct
0.0000 0.0000 0.0000
0.4778 0.5000 0.9807
0.5153 0.0000 0.5290
0.8431 0.5000 0.6861
0.1089 0.5000 0.3813
```

---

(12)
Calculated powder diffraction line list
Compound: NbV4Sn
Radiation: Cu Kα
Structure: a cell relaxed with GGA-PBE

Peak list (12 most intense, 2θ = 10–90°, low angle first)
| d [Å] | I (rel.) |
| --- | --- |
| 4.150 | 8 |
| 3.594 | 1 |
| 2.541 | 59 |
| 2.167 | 100 |
| 2.075 | 18 |
| 1.649 | 3 |
| 1.467 | 22 |
| 1.383 | 30 |
| 1.271 | 22 |
| 1.215 | 2 |
| 1.137 | 10 |
| 1.096 | 11 |

Structure:
```
NbV4Sn
1.0
0.0000 3.5940 3.5940
3.5940 0.0000 3.5940
3.5940 3.5940 0.0000
Nb V Sn
1 4 1
Direct
0.0000 0.0000 0.0000
0.1186 0.6271 0.6271
0.6271 0.1186 0.6271
0.6271 0.6271 0.1186
0.6271 0.6271 0.6271
0.2500 0.2500 0.2500
```